Simulated powder diffraction line list
Compound: CuAgF3
Radiation: Cu Ka
Structure: a cell relaxed with GGA-PBE

The 12 most intense peaks (15° ≤ 2θ ≤ 90°), sorted by position:
two_theta	I (rel.)
31.45	95
31.85	100
38.86	16
45.37	67
56.00	25
56.25	40
56.99	18
65.65	16
66.56	19
74.83	14
75.47	16
83.41	8

Atomic structure:
Lattice parameters (Å, degrees): 5.621 5.621 5.621 60.80 60.80 60.80
Fractional coordinates of all 10 atoms:
Cu (0.000, 0.000, 0.000)
Cu (0.500, 0.500, 0.500)
Ag (0.250, 0.250, 0.250)
Ag (0.750, 0.750, 0.750)
F (0.181, 0.750, 0.319)
F (0.250, 0.681, 0.819)
F (0.319, 0.181, 0.750)
F (0.681, 0.819, 0.250)
F (0.750, 0.319, 0.181)
F (0.819, 0.250, 0.681)